The following is a theoretical X-ray powder pattern of Ba2MgMnO4. It was derived from a DFT-relaxed cell (PBE+U, the Materials Project), using Cu Kα (weighted mean of Kα1 and Kα2).

The 6 most intense peaks (2θ from 10° to 80°), in order of rising 2θ:
2θ/deg	I_rel
26.04	100
27.80	45
31.27	58
42.33	37
44.81	29
52.56	29

Atomic structure:
Unit cell a=10.042 b=10.042 c=10.042 alpha=156.76 beta=156.76 gamma=33.10
Sites, in units of the cell vectors:
Ba 0.181 0.181 0.000
Ba 0.819 0.819 0.000
Mg 0.000 0.000 0.000
Mn 0.500 0.500 0.000
O 0.000 0.500 0.500
O 0.309 0.309 0.000
O 0.500 0.000 0.500
O 0.691 0.691 0.000